Theoretical powder XRD pattern
Compound: VHg2F8
Radiation: λ = 1.5418 Å (Cu Kα)
Structure: a structure optimized by DFT (PBE+U)
Intensities are scaled so that the largest is 100.

Main lines, by angle (15° ≤ 2θ ≤ 90°):
h k l, 2theta, I_rel
1 1 -1, 23.41, 37
0 2 0, 23.63, 91
1 1 1, 24.34, 100
2 0 -1, 25.49, 66
2 0 1, 27.19, 28
3 1 0, 30.55, 54
2 2 -1, 35.03, 35
0 0 2, 37.46, 26
1 1 -2, 39.98, 28
1 3 1, 41.98, 28

Structure:
a = 9.5464 Å, b = 7.5299 Å, c = 4.8113 Å
α = 90.00°, β = 93.64°, γ = 90.00°
Space group C2/m (No. 12)
Inequivalent atoms, fractional coordinates:
V (0.0000, 0.0000, 0.0000)
Hg (0.1412, 0.5000, 0.2636)
F (0.0893, 0.5000, 0.7519)
F (0.1081, 0.1769, 0.1791)
F (0.1302, 0.0000, 0.7084)